1.
The following is a theoretical powder diffractogram of HfBeOs. It was derived from a structure optimized by DFT (GGA-PBE), using Cu Kα.
Peak positions follow from Bragg's law for the DFT cell and can differ from measured ones.

The 10 most intense peaks (10° ≤ 2θ ≤ 90°), by angle:
index  d [Å]  I (rel.)
0 0 1  6.758  171
0 0 2  3.380  156
4 0 1  2.691  233
3 1 1  2.350  1000
1 1 2  2.302  404
5 0 1  2.215  478
4 1 0  2.181  295
0 2 0  1.633  152
5 1 3  1.455  162
5 2 1  1.314  183

Structure:
```
18
Lattice="11.732 0.000 0.000 0.000 3.265 0.000 0.000 0.000 6.758" Properties=species:S:1:pos:R:3 pbc="T T T"
Hf 0.612 0.000 1.585
Hf 2.933 0.000 4.421
Hf 5.254 0.000 1.585
Hf 6.479 0.000 5.173
Hf 8.799 0.000 2.337
Hf 11.120 0.000 5.173
Be 1.024 1.633 3.734
Be 2.933 0.000 0.323
Be 4.842 1.633 3.734
Be 6.890 1.633 3.023
Be 8.799 0.000 6.435
Be 10.708 1.633 3.023
Os 1.460 1.633 6.183
Os 2.933 1.633 2.054
Os 4.406 1.633 6.183
Os 7.326 1.633 0.575
Os 8.799 1.633 4.704
Os 10.273 1.633 0.575
```

=====

2.
The following is a theoretical powder diffractogram of PmNd2Ho12. It was derived from a structure optimized by DFT (GGA-PBE), using Cu Kα.
Peak positions follow from Bragg's law for the DFT cell and can differ from measured ones.

The 10 most intense peaks (10° ≤ 2θ ≤ 90°), by angle:
index  d [Å]  I (rel.)
1 1 2  4.273  408
2 0 2  3.116  938
2 0 3  2.999  655
2 0 4  2.856  1000
1 1 7  2.789  757
0 0 9  2.744  681
2 0 5  2.698  392
2 1 4  2.610  327
2 2 0  2.277  865
2 2 9  1.752  419

Structure:
```
30
Lattice="6.440 0.000 0.000 0.000 6.440 0.000 0.000 0.000 24.698" Properties=species:S:1:pos:R:3 pbc="T T T"
Pm 1.610 4.830 0.000
Pm 4.830 1.610 0.000
Nd 1.610 4.830 6.428
Nd 1.610 4.830 18.271
Nd 4.830 1.610 6.428
Nd 4.830 1.610 18.271
Ho 0.004 3.224 2.799
Ho 0.004 6.437 21.899
Ho 0.523 3.743 13.850
Ho 0.523 5.917 10.849
Ho 1.610 1.610 5.253
Ho 1.610 1.610 8.350
Ho 1.610 1.610 16.348
Ho 1.610 1.610 19.446
Ho 2.697 3.743 10.849
Ho 2.697 5.917 13.850
Ho 3.216 3.224 21.899
Ho 3.216 6.437 2.799
Ho 3.224 0.004 21.899
Ho 3.224 3.216 2.799
Ho 3.743 0.523 10.849
Ho 3.743 2.697 13.850
Ho 4.830 4.830 5.253
Ho 4.830 4.830 8.350
Ho 4.830 4.830 16.348
Ho 4.830 4.830 19.446
Ho 5.917 0.523 13.850
Ho 5.917 2.697 10.849
Ho 6.437 0.004 2.799
Ho 6.437 3.216 21.899
```

=====

3.
The following is a theoretical powder diffractogram of CsSmGeBr6. It was derived from a structure optimized by DFT (GGA-PBE), using Cu Kα.
Peak positions follow from Bragg's law for the DFT cell and can differ from measured ones.

The 10 most intense peaks (10° ≤ 2θ ≤ 90°), by angle:
index  d [Å]  I (rel.)
0 0 1  8.052  348
1 0 1  5.038  985
2 -1 1  3.383  730
2 -1 2  2.735  1000
3 -1 1  2.336  343
1 1 3  2.178  207
3 0 0  2.152  385
2 0 3  2.064  187
3 1 1  1.748  224
2 2 2  1.692  173

Structure:
```
9
Lattice="7.456 0.000 0.000 -3.728 6.457 0.000 0.000 0.000 8.052" Properties=species:S:1:pos:R:3 pbc="T T T"
Cs 0.000 0.000 0.000
Sm 3.728 2.152 4.026
Ge 0.000 4.305 4.026
Br -1.393 2.464 5.678
Br -2.291 4.019 2.374
Br 1.393 2.464 2.374
Br -0.898 6.432 5.678
Br 2.291 4.019 5.678
Br 0.898 6.432 2.374
```

=====

4.
The following is a theoretical powder diffractogram of La2PrHo7. It was derived from a structure optimized by DFT (GGA-PBE), using Cu Kα.
Peak positions follow from Bragg's law for the DFT cell and can differ from measured ones.

The 10 most intense peaks (10° ≤ 2θ ≤ 90°), by angle:
index  d [Å]  I (rel.)
1 0 2  2.932  1000
2 0 -1  2.547  340
0 2 2  2.524  166
2 2 -4  1.801  121
0 4 -1  1.794  180
2 2 1  1.791  60
3 0 1  1.535  216
3 2 -2  1.533  72
1 4 1  1.524  106
2 -4 0  1.467  93

Structure:
```
10
Lattice="5.091 0.000 0.000 -0.017 7.167 0.000 -2.544 -1.874 8.974" Properties=species:S:1:pos:R:3 pbc="T T T"
La -0.001 -0.011 3.549
La 2.530 5.304 5.425
Pr -0.009 3.583 0.000
Ho 0.000 0.000 0.000
Ho -0.010 3.552 3.577
Ho -0.011 3.500 7.183
Ho -0.002 -0.068 7.205
Ho 2.531 5.361 1.769
Ho 2.540 1.793 1.791
Ho 2.539 1.741 5.397
```

=====

Question: What is the formula in the fourth record?
Answer: La2PrHo7